Diffraction record for Pm2Sm2YEr4. The X-ray powder pattern is computed, not measured: it uses DFT lattice parameters and positions (PBE) and Cu Kα (weighted mean of Kα1 and Kα2).
Neutral-atom scattering factors, no anomalous dispersion.

Structural model:
a = 9.5314 Å, b = 9.5314 Å, c = 9.5898 Å
α = 115.30°, β = 115.30°, γ = 21.80°
Sites, in units of the cell vectors:
Pm: 0.1658 0.1658 0.0014
Pm: 0.8342 0.8342 0.9986
Sm: 0.3526 0.3526 0.3368
Sm: 0.6474 0.6474 0.6632
Y: 0.5000 0.5000 0.0000
Er: 0.0195 0.0195 0.3338
Er: 0.3151 0.3151 0.6640
Er: 0.6849 0.6849 0.3360
Er: 0.9805 0.9805 0.6662

Peak list (8 most intense, 10 to 90 degrees two-theta, sorted by position)
| 2θ/deg | intensity |
| --- | --- |
| 28.81 | 32.6 |
| 29.44 | 26.3 |
| 31.07 | 52.2 |
| 31.83 | 100.0 |
| 33.52 | 91.1 |
| 50.66 | 40.0 |
| 57.94 | 19.8 |
| 60.63 | 46.6 |



Diffraction record for Pm2Er2Sn3. The X-ray powder pattern is computed, not measured: it uses DFT lattice parameters and positions (PBE) and Cu Kα (weighted mean of Kα1 and Kα2).
Neutral-atom scattering factors, no anomalous dispersion.

Structural model:
a = 4.9640 Å, b = 5.1676 Å, c = 16.2149 Å
α = 90.00°, β = 90.00°, γ = 90.00°
Sites, in units of the cell vectors:
Pm: 0.0000 0.0000 0.1200
Pm: 0.0000 0.0000 0.8800
Pm: 0.5000 0.5000 0.3800
Pm: 0.5000 0.5000 0.6200
Er: 0.0000 0.0000 0.3778
Er: 0.0000 0.0000 0.6222
Er: 0.5000 0.5000 0.1222
Er: 0.5000 0.5000 0.8778
Sn: 0.0000 0.5000 0.0000
Sn: 0.0000 0.5000 0.2534
Sn: 0.0000 0.5000 0.7466
Sn: 0.5000 0.0000 0.2466
Sn: 0.5000 0.0000 0.5000
Sn: 0.5000 0.0000 0.7534

Peak list (8 most intense, 10 to 90 degrees two-theta, sorted by position)
| 2θ/deg | intensity |
| --- | --- |
| 33.39 | 100.0 |
| 34.72 | 22.7 |
| 36.19 | 20.3 |
| 44.71 | 10.9 |
| 51.02 | 15.4 |
| 61.39 | 17.7 |
| 63.32 | 16.1 |
| 70.14 | 11.7 |



Diffraction record for Pm6ErSn. The X-ray powder pattern is computed, not measured: it uses DFT lattice parameters and positions (PBE) and Cu Kα (weighted mean of Kα1 and Kα2).
Neutral-atom scattering factors, no anomalous dispersion.

Structural model:
a = 4.9717 Å, b = 4.9717 Å, c = 10.2518 Å
α = 90.00°, β = 90.00°, γ = 90.00°
Sites, in units of the cell vectors:
Pm: 0.0000 0.0000 0.0000
Pm: 0.0000 0.0000 0.5000
Pm: 0.0000 0.5000 0.2417
Pm: 0.0000 0.5000 0.7583
Pm: 0.5000 0.0000 0.2417
Pm: 0.5000 0.0000 0.7583
Er: 0.5000 0.5000 0.5000
Sn: 0.5000 0.5000 0.0000

Peak list (8 most intense, 10 to 90 degrees two-theta, sorted by position)
| 2θ/deg | intensity |
| --- | --- |
| 30.84 | 100.0 |
| 35.01 | 17.6 |
| 36.13 | 33.0 |
| 51.19 | 24.0 |
| 52.03 | 11.7 |
| 60.22 | 14.3 |
| 61.71 | 27.8 |
| 64.26 | 12.1 |



Diffraction record for PmEr2Sn. The X-ray powder pattern is computed, not measured: it uses DFT lattice parameters and positions (PBE) and Cu Kα (weighted mean of Kα1 and Kα2).
Neutral-atom scattering factors, no anomalous dispersion.

Structural model:
a = 4.6220 Å, b = 4.7014 Å, c = 11.4267 Å
α = 90.00°, β = 101.60°, γ = 90.00°
Sites, in units of the cell vectors:
Pm: 0.1918 0.2500 0.3858
Pm: 0.8082 0.7500 0.6142
Er: 0.0575 0.7500 0.1154
Er: 0.4368 0.7500 0.8729
Er: 0.5632 0.2500 0.1271
Er: 0.9425 0.2500 0.8846
Sn: 0.3385 0.2500 0.6742
Sn: 0.6615 0.7500 0.3258

Peak list (8 most intense, 10 to 90 degrees two-theta, sorted by position)
| 2θ/deg | intensity |
| --- | --- |
| 29.63 | 88.6 |
| 31.98 | 35.8 |
| 33.77 | 100.0 |
| 38.29 | 30.8 |
| 38.97 | 29.4 |
| 50.72 | 19.8 |
| 55.78 | 20.9 |
| 65.76 | 19.4 |



Diffraction record for PmEr5Sn6. The X-ray powder pattern is computed, not measured: it uses DFT lattice parameters and positions (PBE) and Cu Kα (weighted mean of Kα1 and Kα2).
Neutral-atom scattering factors, no anomalous dispersion.

Structural model:
a = 8.2086 Å, b = 8.2086 Å, c = 7.4208 Å
α = 95.11°, β = 95.11°, γ = 136.64°
Sites, in units of the cell vectors:
Pm: 0.0000 0.0000 0.0000
Er: 0.0000 0.0000 0.5000
Er: 0.3279 0.6721 0.0000
Er: 0.3412 0.6588 0.5000
Er: 0.6588 0.3412 0.5000
Er: 0.6721 0.3279 0.0000
Sn: 0.1637 0.8243 0.2627
Sn: 0.1757 0.8363 0.7373
Sn: 0.4871 0.4871 0.7625
Sn: 0.5129 0.5129 0.2375
Sn: 0.8243 0.1637 0.2627
Sn: 0.8363 0.1757 0.7373

Peak list (8 most intense, 10 to 90 degrees two-theta, sorted by position)
| 2θ/deg | intensity |
| --- | --- |
| 30.37 | 54.9 |
| 31.23 | 100.0 |
| 35.30 | 36.1 |
| 36.77 | 66.4 |
| 47.24 | 32.2 |
| 50.61 | 25.8 |
| 61.80 | 14.9 |
| 74.51 | 16.3 |



Diffraction record for Pm4ErSn4. The X-ray powder pattern is computed, not measured: it uses DFT lattice parameters and positions (PBE) and Cu Kα (weighted mean of Kα1 and Kα2).
Neutral-atom scattering factors, no anomalous dispersion.

Structural model:
a = 9.4721 Å, b = 9.4721 Å, c = 6.4167 Å
α = 90.00°, β = 90.00°, γ = 90.00°
Sites, in units of the cell vectors:
Pm: 0.0371 0.6690 0.1162
Pm: 0.1690 0.9629 0.6162
Pm: 0.3310 0.5371 0.6162
Pm: 0.4629 0.8310 0.1162
Pm: 0.5371 0.1690 0.8838
Pm: 0.6690 0.4629 0.3838
Pm: 0.8310 0.0371 0.3838
Pm: 0.9629 0.3310 0.8838
Er: 0.2500 0.2500 0.2500
Er: 0.7500 0.7500 0.7500
Sn: 0.0222 0.6437 0.6099
Sn: 0.1437 0.9778 0.1099
Sn: 0.3563 0.5222 0.1099
Sn: 0.4778 0.8563 0.6099
Sn: 0.5222 0.1437 0.3901
Sn: 0.6437 0.4778 0.8901
Sn: 0.8563 0.0222 0.8901
Sn: 0.9778 0.3563 0.3901

Peak list (8 most intense, 10 to 90 degrees two-theta, sorted by position)
| 2θ/deg | intensity |
| --- | --- |
| 25.19 | 20.6 |
| 29.39 | 41.4 |
| 29.83 | 100.0 |
| 35.09 | 47.3 |
| 42.69 | 32.1 |
| 44.58 | 32.2 |
| 48.75 | 25.9 |
| 59.98 | 16.4 |



Diffraction record for Pm5ErSn5. The X-ray powder pattern is computed, not measured: it uses DFT lattice parameters and positions (PBE) and Cu Kα (weighted mean of Kα1 and Kα2).
Neutral-atom scattering factors, no anomalous dispersion.

Structural model:
a = 8.7298 Å, b = 8.7298 Å, c = 7.2871 Å
α = 104.47°, β = 104.47°, γ = 41.32°
Sites, in units of the cell vectors:
Pm: 0.0000 0.0000 0.0000
Pm: 0.3226 0.3226 0.2048
Pm: 0.3436 0.3436 0.7118
Pm: 0.6564 0.6564 0.2882
Pm: 0.6774 0.6774 0.7952
Er: 0.0000 0.0000 0.5000
Sn: 0.1631 0.1631 0.8547
Sn: 0.1652 0.1652 0.3904
Sn: 0.5000 0.5000 0.5000
Sn: 0.8348 0.8348 0.6096
Sn: 0.8369 0.8369 0.1453

Peak list (8 most intense, 10 to 90 degrees two-theta, sorted by position)
| 2θ/deg | intensity |
| --- | --- |
| 28.99 | 100.0 |
| 29.22 | 76.7 |
| 30.52 | 71.2 |
| 31.13 | 25.8 |
| 34.17 | 61.1 |
| 41.63 | 59.5 |
| 42.60 | 57.9 |
| 45.41 | 55.7 |



Diffraction record for Tb3Pm4Er4. The X-ray powder pattern is computed, not measured: it uses DFT lattice parameters and positions (PBE) and Cu Kα (weighted mean of Kα1 and Kα2).
Neutral-atom scattering factors, no anomalous dispersion.

Structural model:
a = 18.1699 Å, b = 18.1699 Å, c = 35.7259 Å
α = 169.45°, β = 169.45°, γ = 17.89°
Sites, in units of the cell vectors:
Tb: 0.0000 0.0000 0.0000
Tb: 0.4996 0.4996 0.1352
Tb: 0.5004 0.5004 0.8648
Pm: 0.9999 0.9999 0.2672
Pm: 0.0001 0.0001 0.7328
Pm: 0.5000 0.5000 0.4097
Pm: 0.5000 0.5000 0.5903
Er: 0.0005 0.0005 0.4553
Er: 0.9995 0.9995 0.5447
Er: 0.4992 0.4992 0.6800
Er: 0.5008 0.5008 0.3200

Peak list (8 most intense, 10 to 90 degrees two-theta, sorted by position)
| 2θ/deg | intensity |
| --- | --- |
| 30.91 | 28.1 |
| 31.64 | 100.0 |
| 31.78 | 72.2 |
| 44.84 | 20.3 |
| 56.38 | 12.3 |
| 56.47 | 14.5 |
| 56.96 | 12.9 |
| 62.31 | 31.9 |



Diffraction record for Tb3Pm6Er2. The X-ray powder pattern is computed, not measured: it uses DFT lattice parameters and positions (PBE) and Cu Kα (weighted mean of Kα1 and Kα2).
Neutral-atom scattering factors, no anomalous dispersion.

Structural model:
a = 32.2795 Å, b = 32.2795 Å, c = 32.2795 Å
α = 6.39°, β = 6.39°, γ = 6.39°
Sites, in units of the cell vectors:
Tb: 0.0000 0.0000 0.0000
Tb: 0.2726 0.2726 0.2726
Tb: 0.7274 0.7274 0.7274
Pm: 0.0912 0.0912 0.0912
Pm: 0.1822 0.1822 0.1822
Pm: 0.3637 0.3637 0.3637
Pm: 0.6363 0.6363 0.6363
Pm: 0.8178 0.8178 0.8178
Pm: 0.9088 0.9088 0.9088
Er: 0.4545 0.4545 0.4545
Er: 0.5455 0.5455 0.5455

Peak list (8 most intense, 10 to 90 degrees two-theta, sorted by position)
| 2θ/deg | intensity |
| --- | --- |
| 30.42 | 100.0 |
| 30.53 | 33.0 |
| 35.30 | 67.3 |
| 50.71 | 24.2 |
| 50.85 | 23.9 |
| 60.34 | 42.9 |
| 60.48 | 14.1 |
| 63.30 | 12.4 |



Diffraction record for Tb8Pm3Er. The X-ray powder pattern is computed, not measured: it uses DFT lattice parameters and positions (PBE) and Cu Kα (weighted mean of Kα1 and Kα2).
Neutral-atom scattering factors, no anomalous dispersion.

Structural model:
a = 8.6790 Å, b = 8.6790 Å, c = 8.6790 Å
α = 136.07°, β = 98.82°, γ = 97.27°
Sites, in units of the cell vectors:
Tb: 0.0822 0.2492 0.8329
Tb: 0.2441 0.2531 0.4972
Tb: 0.2441 0.7469 0.9911
Tb: 0.4163 0.2492 0.1671
Tb: 0.5837 0.7508 0.8329
Tb: 0.7559 0.2531 0.0089
Tb: 0.7559 0.7469 0.5028
Tb: 0.9178 0.7508 0.1671
Pm: 0.2456 0.7456 0.5000
Pm: 0.5000 0.5000 0.0000
Pm: 0.7544 0.2544 0.5000
Er: 0.0000 0.0000 0.0000

Peak list (8 most intense, 10 to 90 degrees two-theta, sorted by position)
| 2θ/deg | intensity |
| --- | --- |
| 15.73 | 17.9 |
| 31.19 | 35.9 |
| 31.62 | 100.0 |
| 31.79 | 16.5 |
| 35.50 | 40.4 |
| 45.11 | 18.8 |
| 55.77 | 18.3 |
| 65.97 | 16.5 |



Diffraction record for Tb10Pm4Er. The X-ray powder pattern is computed, not measured: it uses DFT lattice parameters and positions (PBE) and Cu Kα (weighted mean of Kα1 and Kα2).
Neutral-atom scattering factors, no anomalous dispersion.

Structural model:
a = 8.9938 Å, b = 8.9938 Å, c = 8.9938 Å
α = 114.23°, β = 114.23°, γ = 100.33°
Sites, in units of the cell vectors:
Tb: 0.0431 0.3891 0.1101
Tb: 0.0669 0.9569 0.3459
Tb: 0.2500 0.7500 0.5000
Tb: 0.2790 0.9331 0.8899
Tb: 0.3891 0.2790 0.3459
Tb: 0.6109 0.7210 0.6541
Tb: 0.7210 0.0669 0.1101
Tb: 0.7500 0.2500 0.5000
Tb: 0.9331 0.0431 0.6541
Tb: 0.9569 0.6109 0.8899
Pm: 0.1760 0.4308 0.6067
Pm: 0.4308 0.8240 0.2548
Pm: 0.5692 0.1760 0.7452
Pm: 0.8240 0.5692 0.3933
Er: 0.0000 0.0000 0.0000

Peak list (8 most intense, 10 to 90 degrees two-theta, sorted by position)
| 2θ/deg | intensity |
| --- | --- |
| 11.88 | 35.7 |
| 28.91 | 60.0 |
| 31.01 | 100.0 |
| 32.90 | 42.0 |
| 34.00 | 20.7 |
| 36.20 | 21.2 |
| 41.34 | 20.3 |
| 56.42 | 20.5 |



Diffraction record for Tb7Pm12Er. The X-ray powder pattern is computed, not measured: it uses DFT lattice parameters and positions (PBE) and Cu Kα (weighted mean of Kα1 and Kα2).
Neutral-atom scattering factors, no anomalous dispersion.

Structural model:
a = 11.5108 Å, b = 11.5108 Å, c = 11.5108 Å
α = 116.84°, β = 116.84°, γ = 116.84°
Sites, in units of the cell vectors:
Tb: 0.0000 0.0000 0.0000
Tb: 0.1290 0.3743 0.3743
Tb: 0.3743 0.1290 0.3743
Tb: 0.3743 0.3743 0.1290
Tb: 0.6257 0.6257 0.8710
Tb: 0.6257 0.8710 0.6257
Tb: 0.8710 0.6257 0.6257
Pm: 0.0000 0.4126 0.5874
Pm: 0.0000 0.5874 0.4126
Pm: 0.0865 0.0865 0.4405
Pm: 0.0865 0.4405 0.0865
Pm: 0.4126 0.0000 0.5874
Pm: 0.4126 0.5874 0.0000
Pm: 0.4405 0.0865 0.0865
Pm: 0.5595 0.9135 0.9135
Pm: 0.5874 0.0000 0.4126
Pm: 0.5874 0.4126 0.0000
Pm: 0.9135 0.5595 0.9135
Pm: 0.9135 0.9135 0.5595
Er: 0.5000 0.5000 0.5000

Peak list (8 most intense, 10 to 90 degrees two-theta, sorted by position)
| 2θ/deg | intensity |
| --- | --- |
| 27.28 | 44.2 |
| 29.98 | 100.0 |
| 30.64 | 43.5 |
| 32.70 | 47.1 |
| 32.93 | 46.3 |
| 39.30 | 40.3 |
| 39.89 | 26.8 |
| 46.29 | 26.1 |